1.
This entry pairs a crystal structure of AlFe2Sb with its theoretical powder diffraction line list. Radiation: Cu Kα X-rays. Structure: DFT lattice parameters and positions (PBE).
Intensities are scaled so that the largest is 100.

Principal peaks in the range 2θ from 10° to 90°, most intense first:
42.7 deg, intensity 100, hkl 2 2 0
78.2 deg, intensity 31, hkl 4 2 2
14.8 deg, intensity 19, hkl 1 0 0
62.0 deg, intensity 16, hkl 4 0 0
33.5 deg, intensity 14, hkl 2 1 0
25.8 deg, intensity 8, hkl 1 1 1
45.5 deg, intensity 7, hkl 3 0 0
64.2 deg, intensity 4, hkl 3 2 2
50.6 deg, intensity 4, hkl 3 1 1
72.3 deg, intensity 3, hkl 4 2 1

Unit cell a=5.986 b=5.986 c=5.986 alpha=90.00 beta=90.00 gamma=90.00
Space group Pm-3m (No. 221)
One atom of each set of equivalent atoms:
Al1 0.000 0.000 0.000
Al2 0.000 0.000 0.500
Fe1 0.247 0.247 0.247
Sb1 0.000 0.500 0.500
Sb2 0.500 0.500 0.500



2.
This entry pairs a crystal structure of Al3Fe2Si with its theoretical powder diffraction line list. Radiation: Cu Kα X-rays. Structure: DFT lattice parameters and positions (PBE).
Intensities are scaled so that the largest is 100.

Principal peaks in the range 2θ from 10° to 90°, most intense first:
43.8 deg, intensity 100, hkl 3 3 3
14.3 deg, intensity 45, hkl 1 1 1
48.0 deg, intensity 34, hkl 4 4 0
28.8 deg, intensity 23, hkl 2 2 2
75.1 deg, intensity 19, hkl 6 6 0
41.2 deg, intensity 18, hkl 4 2 2
51.1 deg, intensity 15, hkl 4 4 2
82.4 deg, intensity 11, hkl 8 4 2
67.0 deg, intensity 10, hkl 7 3 1
76.9 deg, intensity 8, hkl 5 5 5

Unit cell a=10.731 b=10.731 c=10.731 alpha=90.00 beta=90.00 gamma=90.00
Space group Fd-3m (No. 227, origin choice 2)
One atom of each set of equivalent atoms:
Al1 0.076 0.375 0.375
Fe1 0.035 0.035 0.715
Si1 0.000 0.000 0.500